No. 1
This entry pairs a crystal structure of Sm3Tm2Sn3 with its theoretical X-ray diffraction stick pattern. Radiation: Cu Kα X-rays. Structure: a PBE-relaxed structure.
No peak broadening, texture or thermal motion is included.

Structure:
```
data_Sm3Tm2Sn3
_cell_length_a 9.0442
_cell_length_b 9.0442
_cell_length_c 6.5756
_cell_angle_alpha 90.00
_cell_angle_beta 90.00
_cell_angle_gamma 120.00
_symmetry_space_group_name_H-M 'P 63/m c m'
_symmetry_Int_Tables_number 193
_symmetry_space_group_name_Hall '-P 6c 2'
loop_
_atom_site_label
_atom_site_type_symbol
_atom_site_fract_x
_atom_site_fract_y
_atom_site_fract_z
Sm1 Sm 0.0000 0.2408 0.2500
Tm1 Tm 0.3333 0.6667 0.0000
Sn1 Sn 0.0000 0.3981 0.7500
```

Peak list (10 most intense, 2θ = 5–70°, sorted by position)
| 2theta | intensity |
| --- | --- |
| 29.46 | 21 |
| 30.19 | 36 |
| 33.19 | 100 |
| 33.70 | 85 |
| 34.35 | 42 |
| 48.89 | 21 |
| 51.91 | 29 |
| 54.55 | 15 |
| 66.07 | 19 |
| 67.33 | 17 |

No. 2
This entry pairs a crystal structure of Pr4CI3Br2 with its theoretical X-ray diffraction stick pattern. Radiation: Cu Kα X-rays. Structure: a PBE-relaxed structure.
No peak broadening, texture or thermal motion is included.

Structure:
```
data_Pr4CI3Br2
_cell_length_a 19.2177
_cell_length_b 4.0809
_cell_length_c 8.8682
_cell_angle_alpha 90.00
_cell_angle_beta 103.79
_cell_angle_gamma 90.00
_symmetry_space_group_name_H-M 'C 1 2/m 1'
_symmetry_Int_Tables_number 12
_symmetry_space_group_name_Hall '-C 2y'
loop_
_atom_site_label
_atom_site_type_symbol
_atom_site_fract_x
_atom_site_fract_y
_atom_site_fract_z
Pr1 Pr 0.0003 0.0000 0.1970
Pr2 Pr 0.1370 0.5000 0.0749
C1 C 0.0000 0.5000 0.0000
I1 I 0.0000 0.5000 0.5000
I2 I 0.1707 0.0000 0.8202
Br1 Br 0.1603 0.0000 0.3305
```

Peak list (10 most intense, 2θ = 5–70°, sorted by position)
| 2theta | intensity |
| --- | --- |
| 9.48 | 19 |
| 10.27 | 35 |
| 28.70 | 45 |
| 29.39 | 17 |
| 29.75 | 100 |
| 32.34 | 19 |
| 32.50 | 26 |
| 41.70 | 26 |
| 41.93 | 29 |
| 44.40 | 19 |

No. 3
This entry pairs a crystal structure of Ac2TbBiO6 with its theoretical X-ray diffraction stick pattern. Radiation: Cu Kα X-rays. Structure: a PBE-relaxed structure.
No peak broadening, texture or thermal motion is included.

Structure:
```
data_Ac2TbBiO6
_cell_length_a 10.7426
_cell_length_b 6.1240
_cell_length_c 6.1597
_cell_angle_alpha 90.00
_cell_angle_beta 124.61
_cell_angle_gamma 90.00
_symmetry_space_group_name_H-M 'C 1 2/m 1'
_symmetry_Int_Tables_number 12
_symmetry_space_group_name_Hall '-C 2y'
loop_
_atom_site_label
_atom_site_type_symbol
_atom_site_fract_x
_atom_site_fract_y
_atom_site_fract_z
Ac1 Ac 0.2493 0.0000 0.2210
Tb1 Tb 0.0000 0.5000 0.0000
Bi1 Bi 0.0000 0.0000 0.5000
O1 O 0.0811 0.2536 0.8378
O2 O 0.2429 0.5000 0.3771
```

Peak list (10 most intense, 2θ = 5–70°, sorted by position)
| 2theta | intensity |
| --- | --- |
| 28.75 | 100 |
| 28.89 | 100 |
| 28.99 | 40 |
| 29.16 | 48 |
| 40.82 | 22 |
| 41.59 | 44 |
| 50.97 | 37 |
| 51.15 | 20 |
| 51.43 | 41 |
| 51.54 | 21 |

No. 4
This entry pairs a crystal structure of Zr3Ni3As4Pd with its theoretical X-ray diffraction stick pattern. Radiation: Cu Kα X-rays. Structure: a PBE-relaxed structure.
No peak broadening, texture or thermal motion is included.

Structure:
```
data_Zr3Ni3As4Pd
_cell_length_a 6.5640
_cell_length_b 3.8566
_cell_length_c 7.4106
_cell_angle_alpha 90.00
_cell_angle_beta 90.08
_cell_angle_gamma 90.00
_symmetry_space_group_name_H-M 'P 1 m 1'
_symmetry_Int_Tables_number 6
_symmetry_space_group_name_Hall 'P -2y'
loop_
_atom_site_label
_atom_site_type_symbol
_atom_site_fract_x
_atom_site_fract_y
_atom_site_fract_z
Zr1 Zr 0.0000 0.0000 0.0000
Zr2 Zr 0.0591 0.5000 0.6210
Zr3 Zr 0.5469 0.5000 0.4901
Ni1 Ni 0.1503 0.5000 0.2497
Ni2 Ni 0.3683 0.0000 0.7499
Ni3 Ni 0.8986 0.0000 0.3673
As1 As 0.2686 0.0000 0.4124
As2 As 0.2875 0.5000 0.9398
As3 As 0.7649 0.0000 0.6741
As4 As 0.7753 0.5000 0.2011
Pd1 Pd 0.6668 0.5000 0.8786
```

Peak list (10 most intense, 2θ = 5–70°, sorted by position)
| 2theta | intensity |
| --- | --- |
| 35.93 | 36 |
| 36.31 | 71 |
| 37.99 | 100 |
| 38.95 | 24 |
| 43.11 | 23 |
| 43.51 | 59 |
| 45.75 | 29 |
| 47.13 | 47 |
| 48.30 | 28 |
| 49.45 | 21 |

No. 5
This entry pairs a crystal structure of TlTcN3 with its theoretical X-ray diffraction stick pattern. Radiation: Cu Kα X-rays. Structure: a PBE-relaxed structure.
No peak broadening, texture or thermal motion is included.

Structure:
```
data_TlTcN3
_cell_length_a 5.3524
_cell_length_b 5.4761
_cell_length_c 5.8292
_cell_angle_alpha 106.02
_cell_angle_beta 96.18
_cell_angle_gamma 95.71
_symmetry_space_group_name_H-M 'P -1'
_symmetry_Int_Tables_number 2
_symmetry_space_group_name_Hall '-P 1'
loop_
_atom_site_label
_atom_site_type_symbol
_atom_site_fract_x
_atom_site_fract_y
_atom_site_fract_z
Tl1 Tl 0.0572 0.2476 0.3323
Tc1 Tc 0.4855 0.2348 0.8878
N1 N 0.2606 0.9467 0.0543
N2 N 0.2658 0.0680 0.6294
N3 N 0.3711 0.4665 0.1697
```

Peak list (10 most intense, 2θ = 5–70°, sorted by position)
| 2theta | intensity |
| --- | --- |
| 19.70 | 22 |
| 21.55 | 22 |
| 24.89 | 61 |
| 26.02 | 100 |
| 29.04 | 59 |
| 31.86 | 37 |
| 34.01 | 25 |
| 34.38 | 45 |
| 41.05 | 24 |
| 45.50 | 21 |